This entry pairs a crystal structure of BaFeOF2 with its computed XRD peak list. Radiation: Cu Ka. Structure: a structure optimized by DFT (GGA+U).

Crystal structure
a = 6.0848 Å, b = 6.0848 Å, c = 8.1540 Å
α = 90.00°, β = 90.00°, γ = 90.00°
Space group I4/mcm (No. 140)
One atom of each set of equivalent atoms:
Ba 0.0000 0.5000 0.2500 x4
Fe 0.0000 0.0000 0.0000 x4
O 0.0000 0.0000 0.2500 x4
F 0.2029 0.2971 0.0000 x8

Peak list (8 most intense, 10° ≤ 2θ ≤ 90°, in order of falling intensity)
index	2theta	intensity
1 1 2	30.20	100.0
2 0 0	29.36	56.6
3 1 2	52.59	47.5
2 2 0	42.00	37.3
2 0 2	36.86	29.6
2 2 4	62.80	20.8
2 0 4	54.16	19.8
0 0 4	44.44	17.3